This entry pairs a crystal structure of TeHPd3 with its theoretical PXRD pattern. Radiation: Cu Kα X-rays. Structure: a crystal structure in Alexandria, relaxed with PBE.
Lines closer than 0.1° are merged.

Most intense lines, 10 to 90 degrees two-theta, low angle first:
37.16 deg, intensity 100
39.14 deg, intensity 8
41.09 deg, intensity 14
43.05 deg, intensity 19
45.32 deg, intensity 15
62.81 deg, intensity 7
64.28 deg, intensity 10
78.27 deg, intensity 9

Structural model:
abc: 8.788 8.005 4.202
angles: 90.00 90.13 90.00
Space group C2/m (No. 12)
Asymmetric unit:
Te: 0.175 0.000 0.253
H: 0.000 0.352 0.000
Pd: 0.116 0.500 0.252
Pd: 0.125 0.231 0.741